This entry pairs a crystal structure of Na5Zr4Si3P3O24 with its simulated powder XRD pattern. Radiation: CuKα. Structure: a DFT-relaxed cell (PBE, the Materials Project).

Crystal structure
```
Na5Zr4Si3P3O24
1.0
4.5605 2.6330 7.6925
-4.5605 2.6330 7.6925
0.0000 -5.2660 7.6925
Na Zr Si P O
5 4 3 3 24
direct
0.0000 0.6397 0.3603 Na
0.2447 0.2447 0.2447 Na
0.3603 0.0000 0.6397 Na
0.6397 0.3603 0.0000 Na
0.7553 0.7553 0.7553 Na
0.1027 0.1027 0.1027 Zr
0.3991 0.3991 0.3991 Zr
0.6009 0.6009 0.6009 Zr
0.8973 0.8973 0.8973 Zr
0.0000 0.2898 0.7102 Si
0.2898 0.7102 0.0000 Si
0.7102 0.0000 0.2898 Si
0.2018 0.7982 0.5000 P
0.5000 0.2018 0.7982 P
0.7982 0.5000 0.2018 P
0.0117 0.2630 0.8919 O
0.0282 0.8134 0.6638 O
0.1081 0.7370 0.9883 O
0.1741 0.3224 0.5292 O
0.1866 0.9718 0.3362 O
0.2410 0.6387 0.4559 O
0.2630 0.8919 0.0117 O
0.3224 0.5292 0.1741 O
0.3362 0.1866 0.9718 O
0.3613 0.7590 0.5441 O
0.4559 0.2410 0.6387 O
0.4708 0.6776 0.8259 O
0.5292 0.1741 0.3224 O
0.5441 0.3613 0.7590 O
0.6387 0.4559 0.2410 O
0.6638 0.0282 0.8134 O
0.6776 0.8259 0.4708 O
0.7370 0.9883 0.1081 O
0.7590 0.5441 0.3613 O
0.8134 0.6638 0.0282 O
0.8259 0.4708 0.6776 O
0.8919 0.0117 0.2630 O
0.9718 0.3362 0.1866 O
0.9883 0.1081 0.7370 O
```

Most intense lines, 15° ≤ 2θ ≤ 90°, by intensity:
- 2.940 Å, rel. 100
- 4.560 Å, rel. 80
- 4.659 Å, rel. 68
- 2.633 Å, rel. 49
- 3.923 Å, rel. 46
- 3.259 Å, rel. 40

***

This entry pairs a crystal structure of Na7Zr4Si5PO24 with its simulated powder XRD pattern. Radiation: CuKα. Structure: a DFT-relaxed cell (PBE, the Materials Project).

Crystal structure
```
Na7Zr4Si5PO24
1.0
9.2333 0.0000 0.0000
4.5943 8.0169 0.0000
4.5957 2.5732 7.6294
Na Zr Si P O
7 4 5 1 24
direct
0.0000 0.0000 0.0000 Na
0.0976 0.3993 0.7513 Na
0.2286 0.7916 0.4869 Na
0.3665 0.2892 0.9664 Na
0.5677 0.0771 0.3171 Na
0.6859 0.6468 0.0949 Na
0.8510 0.5197 0.5084 Na
0.2563 0.5424 0.3088 Zr
0.4566 0.7502 0.6953 Zr
0.7614 0.0348 0.8156 Zr
0.9611 0.2359 0.1975 Zr
0.0716 0.6388 0.9967 Si
0.1424 0.1442 0.5170 Si
0.3561 0.9291 0.0138 Si
0.6596 0.3593 0.9874 Si
0.8599 0.8575 0.4909 Si
0.5568 0.4316 0.5130 P
0.0266 0.6701 0.4917 O
0.0381 0.4626 0.0371 O
0.0876 0.1653 0.3616 O
0.1090 0.6252 0.1599 O
0.1703 0.3236 0.4780 O
0.1934 0.1177 0.0200 O
0.2441 0.6556 0.8180 O
0.3251 0.9732 0.5203 O
0.3306 0.7671 0.2001 O
0.3595 0.8758 0.8673 O
0.3790 0.4582 0.5087 O
0.4887 0.4038 0.1614 O
0.5383 0.9557 0.9663 O
0.5486 0.6068 0.5065 O
0.5901 0.2812 0.6807 O
0.6299 0.5183 0.8090 O
0.6650 0.1735 0.9973 O
0.6820 0.8275 0.5287 O
0.7138 0.3883 0.3474 O
0.8403 0.3346 0.0035 O
0.8457 0.9216 0.6350 O
0.8905 0.0135 0.2988 O
0.8912 0.8085 0.9790 O
0.9791 0.1178 0.7029 O
```

Most intense lines, 15° ≤ 2θ ≤ 90°, by intensity:
- 4.637 Å, rel. 100
- 2.671 Å, rel. 59
- 4.618 Å, rel. 47
- 2.959 Å, rel. 43
- 2.941 Å, rel. 42
- 3.289 Å, rel. 37